This entry pairs a crystal structure of ZnTe3 with its computed XRD peak list. Radiation: Cu Ka. Structure: the PBE geometry in Alexandria.
Peak positions follow from Bragg's law for the DFT cell and can differ from measured ones.

Main lines, sorted by position (2θ from 10° to 80°):
hkl  d_spacing  Rel. int.
2 1 1  3.235  13
0 0 2  3.193  56
2 2 0  2.984  100
2 2 2  2.180  72
0 4 0  2.132  16
4 0 0  2.089  19
0 4 2  1.773  16
4 0 2  1.748  19
2 2 4  1.408  13
4 4 2  1.352  13

Crystal structure
```
data_ZnTe3
_symmetry_space_group_name_H-M 'I m m a'
_symmetry_Int_Tables_number 74
_symmetry_space_group_name_Hall '-I 2b 2'
_cell_length_a 8.3550
_cell_length_b 8.5293
_cell_length_c 6.3863
_cell_angle_alpha 90.00
_cell_angle_beta 90.00
_cell_angle_gamma 90.00
loop_
_atom_site_label
_atom_site_type_symbol
_atom_site_fract_x
_atom_site_fract_y
_atom_site_fract_z
Zn1 Zn 0.0000 0.2500 0.1803
Te1 Te 0.0000 0.2500 0.7431
Te2 Te 0.2500 0.0248 0.2500
```